PuTlBr5: simulated XRD peak list (Cu Kα), based on a crystal structure in Alexandria, relaxed with GGA-PBE.
Intensities are scaled so that the largest is 100.

Cell and atoms:
Cell lengths 7.7505, 7.7505, 11.1501 Å; angles 109.52, 109.52, 69.27 degrees
Sites, in units of the cell vectors:
1 Pu 0.0000 0.0000 0.0000
2 Pu 0.0000 0.0000 0.5000
3 Tl 0.4712 0.5288 0.7500
4 Tl 0.5288 0.4712 0.2500
5 Br 0.0756 0.9244 0.7500
6 Br 0.1118 0.3228 0.6215
7 Br 0.2098 0.6300 0.0001
8 Br 0.3228 0.1118 0.1215
9 Br 0.3700 0.7902 0.4999
10 Br 0.6300 0.2098 0.5001
11 Br 0.6772 0.8882 0.8785
12 Br 0.7902 0.3700 0.9999
13 Br 0.8882 0.6772 0.3785
14 Br 0.9244 0.0756 0.2500

Largest 10 diffraction maxima, low angle first, 10 to 90 degrees two-theta:
2θ/deg  Rel. int.
15.20  82.3
18.84  100.0
20.16  27.7
24.67  27.6
25.35  30.6
30.69  23.7
32.13  39.2
36.99  28.9
37.69  27.4
38.18  33.6